No. 1
Rb12CdAu7: calculated powder diffractogram (Cu Kα, 1.54184 Å), based on a crystal structure in Alexandria, relaxed with PBE.
Peak positions follow from Bragg's law for the DFT cell and can differ from measured ones.

a = 13.185 Å, b = 13.185 Å, c = 13.185 Å
α = 117.03°, β = 117.03°, γ = 117.03°
Atoms (fractional coordinates):
Rb  0.093  0.163  0.360
Rb  0.163  0.360  0.093
Rb  0.224  0.607  0.750
Rb  0.250  0.776  0.393
Rb  0.360  0.093  0.163
Rb  0.393  0.250  0.776
Rb  0.607  0.750  0.224
Rb  0.640  0.907  0.837
Rb  0.750  0.224  0.607
Rb  0.776  0.393  0.250
Rb  0.837  0.640  0.907
Rb  0.907  0.837  0.640
Cd  0.500  0.500  0.500
Au  0.000  0.000  0.000
Au  0.106  0.439  0.359
Au  0.359  0.106  0.439
Au  0.439  0.359  0.106
Au  0.561  0.641  0.894
Au  0.641  0.894  0.561
Au  0.894  0.561  0.641

Most intense lines, 10 to 90 degrees two-theta, sorted by position:
Position (°2θ)  I/Imax
15.8  193
17.6  191
20.9  169
28.6  1000
30.8  714
42.5  305
50.7  117
52.1  186
56.1  149
59.3  142


No. 2
Rb2Cd3Au: calculated powder diffractogram (Cu Kα, 1.54184 Å), based on a crystal structure in Alexandria, relaxed with PBE.
Peak positions follow from Bragg's law for the DFT cell and can differ from measured ones.

a = 13.315 Å, b = 11.240 Å, c = 10.078 Å
α = 77.09°, β = 55.37°, γ = 47.54°
Atoms (fractional coordinates):
Rb  0.000  0.000  0.250
Rb  0.000  0.000  0.750
Rb  0.250  0.250  0.000
Rb  0.250  0.250  0.500
Rb  0.500  0.500  0.250
Rb  0.500  0.500  0.750
Rb  0.750  0.750  0.000
Rb  0.750  0.750  0.500
Cd  0.030  0.717  0.548
Cd  0.204  0.546  0.204
Cd  0.205  0.548  0.717
Cd  0.283  0.970  0.795
Cd  0.452  0.795  0.970
Cd  0.454  0.796  0.454
Cd  0.546  0.204  0.546
Cd  0.548  0.205  0.030
Cd  0.717  0.030  0.205
Cd  0.795  0.452  0.283
Cd  0.796  0.454  0.796
Cd  0.970  0.283  0.452
Au  0.042  0.708  0.042
Au  0.292  0.958  0.292
Au  0.708  0.042  0.708
Au  0.958  0.292  0.958

Most intense lines, 10 to 90 degrees two-theta, sorted by position:
Position (°2θ)  I/Imax
17.6  313
27.1  1000
35.7  830
40.0  239
45.3  240
51.4  429
58.9  143
59.1  180
82.0  111
86.6  129


No. 3
Rb3CdAu2: calculated powder diffractogram (Cu Kα, 1.54184 Å), based on a crystal structure in Alexandria, relaxed with PBE.
Peak positions follow from Bragg's law for the DFT cell and can differ from measured ones.

a = 9.708 Å, b = 9.708 Å, c = 12.858 Å
α = 114.96°, β = 114.96°, γ = 30.06°
Atoms (fractional coordinates):
Rb  0.049  0.049  0.247
Rb  0.220  0.220  0.611
Rb  0.343  0.343  0.003
Rb  0.657  0.657  0.997
Rb  0.780  0.780  0.389
Rb  0.951  0.951  0.753
Cd  0.420  0.420  0.333
Cd  0.580  0.580  0.667
Au  0.139  0.139  0.794
Au  0.403  0.403  0.550
Au  0.597  0.597  0.450
Au  0.861  0.861  0.206

Most intense lines, 10 to 90 degrees two-theta, sorted by position:
Position (°2θ)  I/Imax
20.8  696
21.1  328
22.5  376
25.5  423
28.8  298
29.2  311
32.0  440
33.2  373
34.1  260
35.6  1000